(1)
For Pu8Si3Ge, a structure optimized by DFT (GGA-PBE) gives the theoretical XRD peak list in this record (Cu Kα (weighted mean of Kα1 and Kα2)).
Peak positions follow from Bragg's law for the DFT cell and can differ from measured ones.

Main lines, sorted by position (2θ = 10–90°):
2theta  I_rel
25.04  100
28.26  37
35.70  58
38.05  49
38.17  48
46.10  31
51.38  21
57.98  21
65.65  20
65.75  10

```
Pu8Si3Ge
1.0
5.029 -5.032 0.000
5.029 5.032 0.000
-5.002 0.000 6.316
Pu Si Ge
8 3 1
Cartesian
2.517 2.544 1.568
-0.017 0.000 1.567
-0.012 0.000 4.749
2.537 2.544 4.747
2.517 -2.544 1.568
5.067 0.000 1.567
5.072 0.000 4.749
2.537 -2.544 4.747
-2.501 0.000 3.158
5.029 2.515 0.000
5.029 -2.515 0.000
2.527 0.000 3.158
```


(2)
For Sm2Pu2Ge3, a structure optimized by DFT (GGA-PBE) gives the theoretical XRD peak list in this record (Cu Kα (weighted mean of Kα1 and Kα2)).
Peak positions follow from Bragg's law for the DFT cell and can differ from measured ones.

Main lines, sorted by position (2θ = 10–90°):
2theta  I_rel
20.33  34
24.39  86
26.46  37
34.08  57
35.28  97
35.44  62
37.27  100
49.99  39
64.85  24
66.69  22

```
Sm2Pu2Ge3
1.0
8.887 0.000 0.000
0.000 5.066 0.000
-2.005 0.000 8.002
Sm Pu Ge
4 4 6
Cartesian
0.471 0.000 2.959
1.967 2.533 5.042
4.915 2.533 2.959
6.410 0.000 5.042
-0.954 2.533 6.914
3.392 0.000 1.088
3.489 0.000 6.914
7.836 2.533 1.088
-1.003 2.533 4.001
0.516 0.000 6.244
1.922 2.533 1.757
3.441 0.000 4.001
4.960 2.533 6.244
6.365 0.000 1.757
```